1.
Structure and theoretical XRD peak list of LaPrGeRh (a crystal structure in Alexandria, relaxed with GGA-PBE; Cu Kα (weighted mean of Kα1 and Kα2)).
No peak broadening, texture or thermal motion is included.

Main lines, in order of falling intensity (10 to 90 degrees two-theta):
hkl 1 1 1, d 2.904, I 100; hkl 1 1 3, d 2.337, I 62; hkl 0 1 3, d 2.811, I 38; hkl 0 0 4, d 2.782, I 26; hkl 0 2 0, d 2.154, I 26; hkl 2 0 0, d 2.102, I 24; hkl 1 0 4, d 2.320, I 22; hkl 2 2 4, d 1.323, I 19; hkl 2 1 3, d 1.683, I 16; hkl 2 2 0, d 1.504, I 16

Atomic structure:
```
data_LaPrGeRh
_chemical_formula_sum 'La2 Pr2 Ge2 Rh2'
_space_group_name_H-M_alt 'A m m 2'
_space_group_IT_number 38
_cell_length_a 4.204
_cell_length_b 4.307
_cell_length_c 11.129
_cell_angle_alpha 90.00
_cell_angle_beta 90.00
_cell_angle_gamma 90.00
loop_
_space_group_symop_operation_xyz
'x,y,z'
'-x,-y,z'
'-x,y,z'
'x,-y,z'
'x,y+1/2,z+1/2'
'-x,-y+1/2,z+1/2'
'-x,y+1/2,z+1/2'
'x,-y+1/2,z+1/2'
loop_
_atom_site_label
_atom_site_type_symbol
_atom_site_fract_x
_atom_site_fract_y
_atom_site_fract_z
_atom_site_occupancy
La1 La 0.000 0.000 0.000 1
Pr1 Pr 0.500 0.000 0.722 1
Ge1 Ge 0.000 0.000 0.292 1
Rh1 Rh 0.500 0.000 0.441 1
```

=====

2.
Structure and theoretical XRD peak list of Co3Ni2Pd (a crystal structure in Alexandria, relaxed with GGA-PBE; Cu Kα (weighted mean of Kα1 and Kα2)).
No peak broadening, texture or thermal motion is included.

Main lines, in order of falling intensity (10 to 90 degrees two-theta):
hkl 1 0 4, d 2.086, I 100; hkl 1 2 2, d 2.080, I 100; hkl 2 1 1, d 1.808, I 63; hkl 0 1 5, d 1.795, I 30; hkl 2 3 -1, d 1.279, I 18; hkl 2 2 6, d 1.272, I 18; hkl 1 3 -5, d 1.091, I 11; hkl 2 0 -4, d 1.275, I 9; hkl 0 1 -7, d 1.277, I 9; hkl 3 2 -2, d 1.090, I 6

Atomic structure:
```
data_Co3Ni2Pd
_chemical_formula_sum 'Co6 Ni4 Pd2'
_space_group_name_H-M_alt 'P -1'
_space_group_IT_number 2
_cell_length_a 3.615
_cell_length_b 4.418
_cell_length_c 9.854
_cell_angle_alpha 81.87
_cell_angle_beta 79.53
_cell_angle_gamma 65.88
loop_
_space_group_symop_operation_xyz
'x,y,z'
'-x,-y,-z'
loop_
_atom_site_label
_atom_site_type_symbol
_atom_site_fract_x
_atom_site_fract_y
_atom_site_fract_z
_atom_site_occupancy
Co1 Co 0.161 0.220 0.458 1
Co2 Co 0.166 0.705 0.963 1
Co3 Co 0.175 0.453 0.198 1
Ni1 Ni 0.492 0.134 0.882 1
Ni2 Ni 0.499 0.381 0.621 1
Pd1 Pd 0.163 0.963 0.710 1
```